Computed powder XRD pattern of Ac4Ir6O19 for copper Kα, from a crystal structure in Alexandria, relaxed with GGA-PBE.

Main lines, low angle first (10° ≤ 2θ ≤ 90°):
Position (°2θ), d (Å), I_rel
23.5, 3.783, 661
30.5, 2.931, 1000
36.3, 2.477, 585
41.3, 2.184, 278
48.1, 1.892, 237
50.2, 1.817, 368
59.9, 1.545, 347
68.7, 1.366, 199

Cell and atoms:
```
Ac4Ir6O19
1.0
-4.634 4.634 4.634
4.634 -4.634 4.634
4.634 4.634 -4.634
Ac Ir O
4 6 19
direct
0.000 0.000 0.677
0.000 0.677 0.000
0.323 0.323 0.323
0.677 0.000 0.000
0.160 0.660 0.500
0.340 0.500 0.840
0.500 0.160 0.660
0.500 0.840 0.340
0.660 0.500 0.160
0.840 0.340 0.500
0.000 0.000 0.000
0.000 0.350 0.350
0.000 0.650 0.650
0.039 0.353 0.737
0.263 0.617 0.303
0.303 0.263 0.617
0.314 0.961 0.697
0.350 0.000 0.350
0.350 0.350 0.000
0.353 0.737 0.039
0.383 0.647 0.686
0.617 0.303 0.263
0.647 0.686 0.383
0.650 0.000 0.650
0.650 0.650 0.000
0.686 0.383 0.647
0.697 0.314 0.961
0.737 0.039 0.353
0.961 0.697 0.314
```

Computed powder XRD pattern of GaIr2 for copper Kα, from a crystal structure in Alexandria, relaxed with GGA-PBE.

Main lines, low angle first (10° ≤ 2θ ≤ 90°):
Position (°2θ), d (Å), I_rel
19.2, 4.617, 233
38.7, 2.328, 279
39.0, 2.310, 388
40.5, 2.225, 658
41.0, 2.202, 1000
43.5, 2.080, 292
43.7, 2.071, 276
44.5, 2.038, 748

Cell and atoms:
```
GaIr2
1.0
6.784 -1.408 0.000
6.784 1.408 0.000
-0.834 0.000 4.617
Ga Ir
2 4
direct
0.000 0.000 0.000
0.688 0.688 0.869
0.169 0.169 0.340
0.344 0.344 0.794
0.516 0.516 0.515
0.842 0.842 0.315
```